Diffraction record for Er2Tm2Zr. The powder XRD pattern is theoretical, not measured: it uses a DFT-relaxed cell (PBE, Alexandria) and Cu Kα (λ = 1.5418 Å).
Neutral-atom scattering factors, no anomalous dispersion.

Largest 12 diffraction maxima, sorted by position, 15 to 90 degrees two-theta:
| d_spacing | Rel. int. |
| --- | --- |
| 5.724 | 96.1 |
| 3.982 | 27.1 |
| 3.382 | 90.7 |
| 2.980 | 58.8 |
| 2.862 | 62.5 |
| 2.632 | 100.0 |
| 2.577 | 34.7 |
| 2.527 | 61.4 |
| 2.443 | 55.9 |
| 2.247 | 31.9 |
| 1.991 | 42.1 |
| 1.910 | 34.3 |

Structure:
Lattice parameters (Å, degrees): 8.231 8.640 20.536 90.00 90.00 90.00
Space group Fddd (No. 70, origin choice 2)
One atom of each set of equivalent atoms:
Er  0.000  0.000  0.000 (multiplicity 16)
Tm  0.125  0.125  0.413 (multiplicity 16)
Zr  0.125  0.125  0.125 (multiplicity 8)